The following is a theoretical X-ray powder pattern of TbNd7Ho12. It was derived from a cell relaxed with GGA-PBE, using λ = 1.5418 Å (Cu Kα).
Peak positions follow from Bragg's law for the DFT cell and can differ from measured ones.

Structural model:
Cell: 11.9771 11.9771 16.2525 Å, 90.00 90.00 120.00°
Space group R-3 (No. 148, hexagonal axes)
Asymmetric unit:
Tb1 0.0000 0.0000 0.0000 [3 per cell]
Nd1 0.0000 0.0000 0.5000 [3 per cell]
Nd2 0.0555 0.1875 0.7890 [18 per cell]
Ho1 0.0251 0.4488 0.7219 [18 per cell]
Ho2 0.0518 0.5860 0.0828 [18 per cell]

Main lines, low angle first (10 to 90 degrees two-theta):
28.8 deg, I 265
30.7 deg, I 423
31.6 deg, I 1000
31.7 deg, I 480
32.5 deg, I 215
33.0 deg, I 619
36.4 deg, I 189
50.6 deg, I 221
55.3 deg, I 258
58.7 deg, I 188



The following is a theoretical X-ray powder pattern of Tb5Nd4Ho4. It was derived from a cell relaxed with GGA-PBE, using λ = 1.5418 Å (Cu Kα).
Peak positions follow from Bragg's law for the DFT cell and can differ from measured ones.

Structural model:
Cell: 12.948 12.948 5.058 Å, 90.00 90.00 90.00°
Space group I4/m (No. 87)
Asymmetric unit:
Tb1 0.000 0.000 0.000 [2 per cell]
Tb2 0.040 0.810 0.500 [8 per cell]
Nd1 0.078 0.618 0.000 [8 per cell]
Ho1 0.153 0.230 0.000 [8 per cell]

Main lines, low angle first (10 to 90 degrees two-theta):
30.5 deg, I 1000
35.3 deg, I 339
35.5 deg, I 168
50.9 deg, I 121
51.0 deg, I 240
60.5 deg, I 286
60.7 deg, I 142
63.5 deg, I 123
83.0 deg, I 118
85.6 deg, I 110



The following is a theoretical X-ray powder pattern of Tb8Nd6Ho. It was derived from a cell relaxed with GGA-PBE, using λ = 1.5418 Å (Cu Kα).
Peak positions follow from Bragg's law for the DFT cell and can differ from measured ones.

Structural model:
Cell: 9.4280 9.4280 6.5744 Å, 90.00 90.00 120.00°
Space group P-3 (No. 147)
Asymmetric unit:
Tb1 0.0925 0.4371 0.1579 [6 per cell]
Tb2 0.3333 0.6667 0.6191 [2 per cell]
Nd1 0.0329 0.2865 0.6653 [6 per cell]
Ho1 0.0000 0.0000 0.0000 [1 per cell]

Main lines, low angle first (10 to 90 degrees two-theta):
25.7 deg, I 281
28.9 deg, I 315
29.3 deg, I 244
32.0 deg, I 1000
32.9 deg, I 250
33.2 deg, I 585
50.7 deg, I 192
51.3 deg, I 137
52.8 deg, I 114
61.8 deg, I 118



The following is a theoretical X-ray powder pattern of Tb2Nd5Ho6. It was derived from a cell relaxed with GGA-PBE, using λ = 1.5418 Å (Cu Kα).
Peak positions follow from Bragg's law for the DFT cell and can differ from measured ones.

Structural model:
Cell: 11.670 20.569 3.600 Å, 90.00 90.00 90.00°
Space group Pbam (No. 55)
Asymmetric unit:
Tb1 0.171 0.211 0.000 [4 per cell]
Nd1 0.000 0.500 0.500 [2 per cell]
Nd2 0.085 0.773 0.500 [4 per cell]
Nd3 0.199 0.050 0.500 [4 per cell]
Ho1 0.062 0.919 0.000 [4 per cell]
Ho2 0.081 0.632 0.000 [4 per cell]
Ho3 0.175 0.363 0.500 [4 per cell]

Main lines, low angle first (10 to 90 degrees two-theta):
31.0 deg, I 662
31.3 deg, I 553
31.4 deg, I 652
32.0 deg, I 1000
34.1 deg, I 383
34.9 deg, I 215
36.4 deg, I 355
50.7 deg, I 236
56.7 deg, I 262
60.6 deg, I 237



The following is a theoretical X-ray powder pattern of TbNdHo. It was derived from a cell relaxed with GGA-PBE, using λ = 1.5418 Å (Cu Kα).
Peak positions follow from Bragg's law for the DFT cell and can differ from measured ones.

Structural model:
Cell: 5.072 15.201 10.167 Å, 90.00 90.00 90.00°
Space group Cmce (No. 64)
Asymmetric unit:
Tb1 0.000 0.085 0.125 [8 per cell]
Nd1 0.000 0.084 0.625 [8 per cell]
Ho1 0.000 0.249 0.375 [8 per cell]

Main lines, low angle first (10 to 90 degrees two-theta):
30.5 deg, I 1000
35.4 deg, I 338
35.4 deg, I 168
50.9 deg, I 361
60.4 deg, I 144
60.6 deg, I 286
63.5 deg, I 124
82.9 deg, I 118
83.0 deg, I 59
85.6 deg, I 83



The following is a theoretical X-ray powder pattern of Tb15Nd2Ho2. It was derived from a cell relaxed with GGA-PBE, using λ = 1.5418 Å (Cu Kα).
Peak positions follow from Bragg's law for the DFT cell and can differ from measured ones.

Structural model:
Cell: 11.2314 11.2314 17.6090 Å, 90.00 90.00 120.00°
Space group R-3m (No. 166, hexagonal axes)
Asymmetric unit:
Tb1 0.0000 0.2965 0.0000 [18 per cell]
Tb2 0.0000 0.5000 0.5000 [9 per cell]
Tb3 0.0128 0.5064 0.1366 [18 per cell]
Nd1 0.0000 0.0000 0.3258 [6 per cell]
Ho1 0.0000 0.0000 0.0954 [6 per cell]

Main lines, low angle first (10 to 90 degrees two-theta):
27.3 deg, I 328
27.5 deg, I 300
30.5 deg, I 286
31.4 deg, I 614
31.5 deg, I 1000
31.9 deg, I 607
34.5 deg, I 213
35.4 deg, I 735
56.4 deg, I 313
56.8 deg, I 264



The following is a theoretical X-ray powder pattern of TbNd2Ho9. It was derived from a cell relaxed with GGA-PBE, using λ = 1.5418 Å (Cu Kα).
Peak positions follow from Bragg's law for the DFT cell and can differ from measured ones.

Structural model:
Cell: 5.023 5.023 15.070 Å, 90.00 90.00 90.00°
Space group P4/mmm (No. 123)
Asymmetric unit:
Tb1 0.000 0.000 0.000 [1 per cell]
Nd1 0.000 0.000 0.333 [2 per cell]
Ho1 0.000 0.500 0.165 [4 per cell]
Ho2 0.000 0.500 0.500 [2 per cell]
Ho3 0.500 0.500 0.000 [1 per cell]
Ho4 0.500 0.500 0.332 [2 per cell]

Main lines, low angle first (10 to 90 degrees two-theta):
30.8 deg, I 1000
35.8 deg, I 506
51.5 deg, I 360
61.2 deg, I 428
64.2 deg, I 123
75.7 deg, I 57
84.0 deg, I 178
86.7 deg, I 166



The following is a theoretical X-ray powder pattern of Tb12Nd6Ho. It was derived from a cell relaxed with GGA-PBE, using λ = 1.5418 Å (Cu Kα).
Peak positions follow from Bragg's law for the DFT cell and can differ from measured ones.

Structural model:
Cell: 11.1538 11.1538 17.6677 Å, 90.00 90.00 120.00°
Space group R-3m (No. 166, hexagonal axes)
Asymmetric unit:
Tb1 0.0993 0.5497 0.4130 [18 per cell]
Tb2 0.1061 0.2121 0.4083 [18 per cell]
Nd1 0.0704 0.5352 0.7671 [18 per cell]
Ho1 0.0000 0.0000 0.0000 [3 per cell]

Main lines, low angle first (10 to 90 degrees two-theta):
27.7 deg, I 193
30.4 deg, I 212
31.4 deg, I 74
31.7 deg, I 1000
41.6 deg, I 184
49.0 deg, I 191
54.8 deg, I 153
58.7 deg, I 145
59.5 deg, I 130
80.6 deg, I 80